# 1
Theoretical PXRD pattern
Compound: Sr3Sc
Radiation: copper Kα
Structure: a cell relaxed with GGA-PBE

Crystal structure
```
data_Sr3Sc
_symmetry_space_group_name_H-M 'I 4/m m m'
_symmetry_Int_Tables_number 139
_symmetry_space_group_name_Hall '-I 4 2'
_cell_length_a 5.563
_cell_length_b 5.563
_cell_length_c 11.573
_cell_angle_alpha 90.00
_cell_angle_beta 90.00
_cell_angle_gamma 90.00
loop_
_atom_site_label
_atom_site_type_symbol
_atom_site_fract_x
_atom_site_fract_y
_atom_site_fract_z
Sr1 Sr 0.000 0.000 0.000
Sr2 Sr 0.000 0.500 0.250
Sc1 Sc 0.000 0.000 0.500
```

Principal peaks in the range 5° ≤ 2θ ≤ 70°, sorted by position:
hkl  2θ/deg  d (Å)  I (rel.)
1 0 1  17.7  5.014  5
1 1 2  27.4  3.253  100
0 0 4  30.9  2.893  18
2 0 0  32.2  2.781  33
2 0 4  45.2  2.005  25
2 2 0  46.2  1.967  12
1 1 6  52.9  1.732  15
3 1 2  54.5  1.683  28
2 2 4  56.6  1.627  13
4 0 0  67.3  1.391  4

# 2
Theoretical PXRD pattern
Compound: Ca5Ga3
Radiation: copper Kα
Structure: a cell relaxed with GGA-PBE

Crystal structure
```
data_Ca5Ga3
_symmetry_space_group_name_H-M 'I 4/m c m'
_symmetry_Int_Tables_number 140
_symmetry_space_group_name_Hall '-I 4 2c'
_cell_length_a 7.954
_cell_length_b 7.954
_cell_length_c 14.905
_cell_angle_alpha 90.00
_cell_angle_beta 90.00
_cell_angle_gamma 90.00
loop_
_atom_site_label
_atom_site_type_symbol
_atom_site_fract_x
_atom_site_fract_y
_atom_site_fract_z
Ca1 Ca 0.000 0.000 0.000
Ca2 Ca 0.174 0.326 0.145
Ga1 Ga 0.000 0.000 0.250
Ga2 Ga 0.111 0.389 0.500
```

Principal peaks in the range 5° ≤ 2θ ≤ 70°, sorted by position:
hkl  2θ/deg  d (Å)  I (rel.)
0 0 2  11.9  7.453  15
1 1 2  19.8  4.489  40
2 1 3  30.9  2.892  100
2 2 0  31.8  2.812  17
2 0 4  32.9  2.719  51
3 1 0  35.7  2.515  49
2 1 5  39.4  2.285  15
3 2 1  41.4  2.182  20
3 1 8  62.0  1.497  18
5 1 4  64.8  1.439  19

# 3
Theoretical PXRD pattern
Compound: LaIn2Cl5
Radiation: copper Kα
Structure: a cell relaxed with GGA-PBE

Crystal structure
```
data_LaIn2Cl5
_symmetry_space_group_name_H-M 'P n m a'
_symmetry_Int_Tables_number 62
_symmetry_space_group_name_Hall '-P 2ac 2n'
_cell_length_a 13.040
_cell_length_b 9.002
_cell_length_c 8.203
_cell_angle_alpha 90.00
_cell_angle_beta 90.00
_cell_angle_gamma 90.00
loop_
_atom_site_label
_atom_site_type_symbol
_atom_site_fract_x
_atom_site_fract_y
_atom_site_fract_z
La1 La 0.006 0.250 0.076
In1 In 0.171 0.006 0.549
Cl1 Cl 0.007 0.250 0.425
Cl2 Cl 0.077 0.543 0.164
Cl3 Cl 0.181 0.250 0.874
Cl4 Cl 0.206 0.750 0.835
```

Principal peaks in the range 5° ≤ 2θ ≤ 70°, sorted by position:
hkl  2θ/deg  d (Å)  I (rel.)
0 0 2  21.7  4.102  45
3 0 1  23.2  3.841  100
1 2 1  23.6  3.777  83
2 2 0  24.0  3.704  53
1 2 2  30.3  2.953  57
3 2 1  30.6  2.922  41
2 2 2  32.6  2.749  64
4 2 0  34.0  2.640  44
0 4 0  40.1  2.251  40
6 0 0  41.5  2.175  65

# 4
Theoretical PXRD pattern
Compound: MgAlH5
Radiation: copper Kα
Structure: a cell relaxed with GGA-PBE

Crystal structure
```
data_MgAlH5
_symmetry_space_group_name_H-M 'C 2 2 21'
_symmetry_Int_Tables_number 20
_symmetry_space_group_name_Hall 'C 2c 2'
_cell_length_a 4.508
_cell_length_b 13.012
_cell_length_c 4.273
_cell_angle_alpha 90.00
_cell_angle_beta 90.00
_cell_angle_gamma 90.00
loop_
_atom_site_label
_atom_site_type_symbol
_atom_site_fract_x
_atom_site_fract_y
_atom_site_fract_z
Mg1 Mg 0.000 0.179 0.250
Al1 Al 0.000 0.409 0.250
H1 H 0.155 0.305 0.029
H2 H 0.164 0.500 0.000
H3 H 0.191 0.092 0.970
```

Principal peaks in the range 5° ≤ 2θ ≤ 70°, sorted by position:
hkl  2θ/deg  d (Å)  I (rel.)
1 1 0  20.9  4.259  14
0 4 0  27.4  3.253  11
1 3 0  28.6  3.125  16
1 1 1  29.6  3.017  100
0 4 1  34.7  2.588  46
1 3 1  35.6  2.523  17
2 0 0  40.0  2.254  46
0 0 2  42.3  2.137  14
2 4 1  53.9  1.700  25
2 0 2  59.6  1.551  34

# 5
Theoretical PXRD pattern
Compound: Ca3ZnSe4
Radiation: copper Kα
Structure: a cell relaxed with GGA-PBE

Crystal structure
```
data_Ca3ZnSe4
_symmetry_space_group_name_H-M 'P -4 3 m'
_symmetry_Int_Tables_number 215
_symmetry_space_group_name_Hall 'P -4 2 3'
_cell_length_a 6.382
_cell_length_b 6.382
_cell_length_c 6.382
_cell_angle_alpha 90.00
_cell_angle_beta 90.00
_cell_angle_gamma 90.00
loop_
_atom_site_label
_atom_site_type_symbol
_atom_site_fract_x
_atom_site_fract_y
_atom_site_fract_z
Ca1 Ca 0.000 0.000 0.500
Zn1 Zn 0.500 0.500 0.500
Se1 Se 0.270 0.270 0.730
```

Principal peaks in the range 5° ≤ 2θ ≤ 70°, sorted by position:
hkl  2θ/deg  d (Å)  I (rel.)
1 0 0  13.9  6.382  9
1 1 1  24.2  3.685  100
2 0 0  28.0  3.191  4
2 1 1  34.4  2.605  6
2 2 0  40.0  2.256  69
3 1 1  47.2  1.924  42
3 2 0  51.6  1.770  5
4 0 0  57.8  1.595  10
4 1 1  61.7  1.504  4
3 3 1  63.5  1.464  16

# 6
Theoretical PXRD pattern
Compound: Cr2Ni3N4
Radiation: copper Kα
Structure: a cell relaxed with GGA-PBE

Crystal structure
```
data_Cr2Ni3N4
_symmetry_space_group_name_H-M 'C 1 2/c 1'
_symmetry_Int_Tables_number 15
_symmetry_space_group_name_Hall '-C 2yc'
_cell_length_a 8.630
_cell_length_b 7.232
_cell_length_c 5.490
_cell_angle_alpha 90.00
_cell_angle_beta 91.61
_cell_angle_gamma 90.00
loop_
_atom_site_label
_atom_site_type_symbol
_atom_site_fract_x
_atom_site_fract_y
_atom_site_fract_z
Cr1 Cr 0.186 0.125 0.362
Ni1 Ni 0.000 0.151 0.750
Ni2 Ni 0.115 0.393 0.006
N1 N 0.107 0.329 0.523
N2 N 0.158 0.101 0.027
```

Principal peaks in the range 5° ≤ 2θ ≤ 70°, sorted by position:
hkl  2θ/deg  d (Å)  I (rel.)
1 1 -2  36.3  2.477  57
2 2 1  36.6  2.456  100
3 1 -1  37.0  2.428  48
0 4 0  50.5  1.808  27
1 3 -2  51.4  1.779  22
3 3 -1  51.9  1.760  21
1 1 3  53.0  1.728  17
5 1 0  54.7  1.678  20
4 0 2  54.9  1.673  24
1 3 3  65.2  1.432  12

# 7
Theoretical PXRD pattern
Compound: MoNCl3
Radiation: copper Kα
Structure: a cell relaxed with GGA-PBE

Crystal structure
```
data_MoNCl3
_symmetry_space_group_name_H-M 'P -1'
_symmetry_Int_Tables_number 2
_symmetry_space_group_name_Hall '-P 1'
_cell_length_a 8.068
_cell_length_b 8.469
_cell_length_c 9.461
_cell_angle_alpha 99.36
_cell_angle_beta 108.24
_cell_angle_gamma 108.65
loop_
_atom_site_label
_atom_site_type_symbol
_atom_site_fract_x
_atom_site_fract_y
_atom_site_fract_z
Mo1 Mo 0.015 0.057 0.234
Mo2 Mo 0.125 0.349 0.631
N1 N 0.062 0.206 0.400
N2 N 0.063 0.170 0.693
Cl1 Cl 0.077 0.229 0.073
Cl2 Cl 0.182 0.651 0.483
Cl3 Cl 0.218 0.568 0.850
Cl4 Cl 0.299 0.023 0.297
Cl5 Cl 0.311 0.039 0.882
Cl6 Cl 0.431 0.391 0.658
```

Principal peaks in the range 5° ≤ 2θ ≤ 70°, sorted by position:
hkl  2θ/deg  d (Å)  I (rel.)
1 0 0  12.6  7.038  100
1 0 -1  12.8  6.931  20
1 -1 0  13.3  6.664  35
1 1 -1  18.5  4.790  21
0 2 -1  22.4  3.961  24
-1 1 2  23.3  3.820  61
0 2 -2  26.2  3.396  46
0 1 2  26.6  3.355  32
1 2 -2  29.7  3.011  16
3 -1 0  35.3  2.542  34